Diffraction record for PuCdFe2O6. The powder diffraction line list is simulated, not measured: it uses a crystal structure in Alexandria, relaxed with GGA+U and Cu Kα (λ = 1.5418 Å).

Top 12 peaks for 10° ≤ 2θ ≤ 90°, in order of falling intensity:
2θ (°)  I/Imax
20.94  100
29.30  86
20.60  75
29.54  60
41.91  55
36.29  48
47.30  45
25.58  36
14.53  35
47.79  31
52.11  26
54.83  23

Structural model:
a = 6.0965 Å, b = 6.0965 Å, c = 4.2425 Å
α = 90.00°, β = 90.00°, γ = 90.00°
Element x y z (fractional)
Pu1 0.0000 0.0000 0.0000
Cd1 0.5000 0.5000 0.8770
Fe1 0.0000 0.5000 0.1330
Fe2 0.5000 0.0000 0.1330
O1 0.0000 0.0000 0.5037
O2 0.2367 0.2367 0.0329
O3 0.2367 0.7633 0.0329
O4 0.5000 0.5000 0.3934
O5 0.7633 0.2367 0.0329
O6 0.7633 0.7633 0.0329